Simulated powder X-ray diffraction pattern
Compound: NbSi
Radiation: Cu Kα X-rays
Structure: DFT lattice parameters and positions (GGA-PBE)
Lines closer than 0.1° are merged.

Main lines, by angle (2θ = 10–80°):
- 3.344 Å, intensity 86
- 2.702 Å, intensity 18
- 2.485 Å, intensity 61
- 2.408 Å, intensity 100
- 2.288 Å, intensity 19
- 2.260 Å, intensity 48
- 2.190 Å, intensity 19
- 1.888 Å, intensity 59
- 1.672 Å, intensity 35
- 1.605 Å, intensity 20
- 1.331 Å, intensity 25
- 1.220 Å, intensity 26

Atomic structure:
Cell lengths 7.789, 7.789, 2.899 Å; angles 90.00, 90.00, 146.27 degrees
Positions (direct):
Nb  0.000  0.000  0.000
Nb  0.334  0.666  0.500
Nb  0.666  0.334  0.500
Si  0.185  0.815  0.000
Si  0.500  0.500  0.500
Si  0.815  0.185  0.000

***

Simulated powder X-ray diffraction pattern
Compound: Er4Mg5Cd2
Radiation: Cu Kα X-rays
Structure: DFT lattice parameters and positions (GGA-PBE)
Lines closer than 0.1° are merged.

Main lines, by angle (2θ = 10–80°):
- 7.980 Å, intensity 66
- 4.524 Å, intensity 37
- 2.724 Å, intensity 49
- 2.661 Å, intensity 49
- 2.621 Å, intensity 59
- 2.593 Å, intensity 47
- 2.543 Å, intensity 100
- 2.492 Å, intensity 26
- 2.441 Å, intensity 40
- 2.366 Å, intensity 38
- 1.683 Å, intensity 44
- 1.417 Å, intensity 33

Atomic structure:
Cell lengths 7.998, 3.412, 10.509 Å; angles 90.00, 93.88, 90.00 degrees
Positions (direct):
Er  0.157  0.000  0.386
Er  0.279  0.000  0.947
Er  0.721  0.000  0.053
Er  0.843  0.000  0.614
Mg  0.200  0.500  0.667
Mg  0.430  0.500  0.208
Mg  0.500  0.500  0.500
Mg  0.570  0.500  0.792
Mg  0.800  0.500  0.333
Cd  0.056  0.500  0.137
Cd  0.944  0.500  0.863

***

Simulated powder X-ray diffraction pattern
Compound: Tb2Dy2N3
Radiation: Cu Kα X-rays
Structure: DFT lattice parameters and positions (GGA-PBE)
Lines closer than 0.1° are merged.

Main lines, by angle (2θ = 10–80°):
- 2.871 Å, intensity 76
- 2.860 Å, intensity 77
- 2.482 Å, intensity 100
- 1.761 Å, intensity 11
- 1.754 Å, intensity 46
- 1.751 Å, intensity 12
- 1.500 Å, intensity 20
- 1.496 Å, intensity 16
- 1.494 Å, intensity 28
- 1.434 Å, intensity 5
- 1.430 Å, intensity 12
- 1.242 Å, intensity 7

Atomic structure:
Cell lengths 6.087, 6.087, 6.088 Å; angles 99.90, 99.90, 33.43 degrees
Positions (direct):
Tb  0.133  0.133  0.364
Tb  0.867  0.867  0.636
Dy  0.375  0.375  0.114
Dy  0.625  0.625  0.886
N  0.000  0.000  0.000
N  0.253  0.253  0.752
N  0.747  0.747  0.248

***

Simulated powder X-ray diffraction pattern
Compound: Na4B5C3
Radiation: Cu Kα X-rays
Structure: DFT lattice parameters and positions (GGA-PBE)
Lines closer than 0.1° are merged.

Main lines, by angle (2θ = 10–80°):
- 2.525 Å, intensity 7
- 2.460 Å, intensity 12
- 2.172 Å, intensity 36
- 2.130 Å, intensity 100
- 1.629 Å, intensity 4
- 1.611 Å, intensity 7
- 1.445 Å, intensity 13
- 1.408 Å, intensity 6
- 1.368 Å, intensity 1
- 1.238 Å, intensity 4
- 1.230 Å, intensity 10
- 1.211 Å, intensity 4

Atomic structure:
Cell lengths 9.000, 9.000, 9.000 Å; angles 162.00, 37.47, 147.41 degrees
Positions (direct):
Na  0.126  0.000  0.126
Na  0.371  0.998  0.373
Na  0.625  0.998  0.627
Na  0.874  0.000  0.874
B  0.080  0.330  0.750
B  0.177  0.677  0.500
B  0.580  0.330  0.250
B  0.637  0.637  0.000
B  0.845  0.345  0.500
C  0.333  0.333  0.000
C  0.414  0.664  0.750
C  0.914  0.664  0.250

***

Simulated powder X-ray diffraction pattern
Compound: Nd5Ho4Er4
Radiation: Cu Kα X-rays
Structure: DFT lattice parameters and positions (GGA-PBE)
Lines closer than 0.1° are merged.

Main lines, by angle (2θ = 10–80°):
- 2.922 Å, intensity 100
- 2.534 Å, intensity 34
- 2.524 Å, intensity 17
- 1.791 Å, intensity 18
- 1.788 Å, intensity 18
- 1.528 Å, intensity 29
- 1.523 Å, intensity 14
- 1.462 Å, intensity 6
- 1.460 Å, intensity 6
- 1.267 Å, intensity 2
- 1.267 Å, intensity 2
- 1.262 Å, intensity 2

Atomic structure:
Cell lengths 5.049, 9.473, 9.477 Å; angles 86.00, 74.63, 74.65 degrees
Positions (direct):
Nd  0.000  0.000  0.000
Nd  0.305  0.234  0.157
Nd  0.462  0.843  0.234
Nd  0.538  0.157  0.766
Nd  0.695  0.766  0.843
Ho  0.155  0.612  0.078
Ho  0.233  0.922  0.612
Ho  0.767  0.078  0.388
Ho  0.845  0.388  0.922
Er  0.076  0.311  0.538
Er  0.386  0.538  0.689
Er  0.614  0.462  0.311
Er  0.924  0.689  0.462

***

Simulated powder X-ray diffraction pattern
Compound: Np2GeH3
Radiation: Cu Kα X-rays
Structure: DFT lattice parameters and positions (GGA-PBE)
Lines closer than 0.1° are merged.

Main lines, by angle (2θ = 10–80°):
- 3.384 Å, intensity 28
- 3.363 Å, intensity 27
- 2.833 Å, intensity 100
- 2.775 Å, intensity 45
- 2.410 Å, intensity 58
- 2.171 Å, intensity 18
- 2.012 Å, intensity 17
- 1.995 Å, intensity 20
- 1.766 Å, intensity 17
- 1.723 Å, intensity 23
- 1.620 Å, intensity 19
- 1.368 Å, intensity 14

Atomic structure:
Cell lengths 7.085, 7.085, 7.085 Å; angles 147.29, 127.66, 63.10 degrees
Positions (direct):
Np  0.179  0.179  0.000
Np  0.292  0.500  0.792
Np  0.708  0.500  0.208
Np  0.821  0.821  0.000
Ge  0.360  0.860  0.500
Ge  0.640  0.140  0.500
H  0.010  0.320  0.690
H  0.149  0.000  0.149
H  0.370  0.680  0.690
H  0.630  0.320  0.310
H  0.851  0.000  0.851
H  0.990  0.680  0.310

***

Simulated powder X-ray diffraction pattern
Compound: CsPb3F9
Radiation: Cu Kα X-rays
Structure: DFT lattice parameters and positions (GGA-PBE)
Lines closer than 0.1° are merged.

Main lines, by angle (2θ = 10–80°):
- 4.566 Å, intensity 27
- 3.911 Å, intensity 39
- 3.790 Å, intensity 100
- 3.159 Å, intensity 26
- 2.916 Å, intensity 25
- 2.188 Å, intensity 32
- 1.973 Å, intensity 15
- 1.955 Å, intensity 33
- 1.895 Å, intensity 17
- 1.580 Å, intensity 22
- 1.458 Å, intensity 14
- 1.213 Å, intensity 16

Atomic structure:
Cell lengths 8.753, 8.753, 4.566 Å; angles 90.00, 90.00, 120.00 degrees
Positions (direct):
Cs  0.000  0.000  0.000
Pb  0.000  0.500  0.500
Pb  0.500  0.000  0.500
Pb  0.500  0.500  0.500
F  0.000  0.500  0.000
F  0.198  0.397  0.500
F  0.198  0.802  0.500
F  0.397  0.198  0.500
F  0.500  0.000  0.000
F  0.500  0.500  0.000
F  0.603  0.802  0.500
F  0.802  0.198  0.500
F  0.802  0.603  0.500

***

Simulated powder X-ray diffraction pattern
Compound: HoErS2
Radiation: Cu Kα X-rays
Structure: DFT lattice parameters and positions (GGA-PBE)
Lines closer than 0.1° are merged.

Main lines, by angle (2θ = 10–80°):
- 3.503 Å, intensity 24
- 3.226 Å, intensity 76
- 2.930 Å, intensity 5
- 2.373 Å, intensity 100
- 1.862 Å, intensity 28
- 1.751 Å, intensity 8
- 1.644 Å, intensity 18
- 1.613 Å, intensity 10
- 1.539 Å, intensity 18
- 1.465 Å, intensity 22
- 1.276 Å, intensity 16
- 1.219 Å, intensity 8

Atomic structure:
Cell lengths 3.725, 3.725, 7.005 Å; angles 90.00, 90.00, 120.00 degrees
Positions (direct):
Ho  0.000  0.000  0.000
Er  0.000  0.000  0.500
S  0.333  0.667  0.748
S  0.667  0.333  0.252